This entry pairs a crystal structure of LaFeO3 with its computed X-ray powder pattern. Radiation: Cu Kα (weighted mean of Kα1 and Kα2). Structure: a DFT-relaxed cell (PBE+U, Alexandria).
No peak broadening, texture or thermal motion is included.

Principal peaks in the range 5 to 70 degrees two-theta, by intensity:
2θ = 32.11°, d = 2.788 Å, I 100; 2θ = 31.65°, d = 2.827 Å, I 96; 2θ = 45.71°, d = 1.985 Å, I 57; 2θ = 56.66°, d = 1.625 Å, I 41; 2θ = 22.39°, d = 3.970 Å, I 29; 2θ = 56.36°, d = 1.632 Å, I 25; 2θ = 39.11°, d = 2.303 Å, I 22; 2θ = 57.53°, d = 1.602 Å, I 19; 2θ = 67.16°, d = 1.394 Å, I 17; 2θ = 66.09°, d = 1.414 Å, I 15; 2θ = 39.88°, d = 2.260 Å, I 9; 2θ = 51.16°, d = 1.786 Å, I 9

Atomic structure:
```
10
Lattice="4.8064 -2.8267 0.0000 4.8064 2.8267 0.0000 -3.1432 0.0000 4.6072" Properties=species:S:1:pos:R:3 pbc="T T T"
La 2.4490 1.4208 3.4554
La 4.0206 -1.4208 1.1518
Fe 2.4032 1.4133 0.0000
Fe 0.8316 -1.4133 2.3036
O -0.1018 0.2049 3.1019
O 1.4698 -0.2049 0.7983
O 4.0206 0.9632 1.1518
O 2.4490 -0.9632 3.4554
O 4.9999 0.2049 3.8090
O 6.5714 -0.2049 1.5053
```